Calculated X-ray diffraction stick pattern
Compound: Re4NiB
Radiation: Cu Kα X-rays
Structure: DFT lattice parameters and positions (GGA-PBE)

Lattice parameters (Å, degrees): 5.487 5.487 10.436 90.00 90.00 90.00
Space group I4/mcm (No. 140)
Symmetry-distinct sites (fractional):
1 Re 0.168 0.332 0.140 [16 per cell]
2 Ni 0.000 0.000 0.000 [4 per cell]
3 B 0.000 0.000 0.250 [4 per cell]

Most intense lines, 10 to 80 degrees two-theta, in order of rising 2θ:
- 32.6 deg, rel. 239
- 34.4 deg, rel. 422
- 37.7 deg, rel. 873
- 41.7 deg, rel. 153
- 45.2 deg, rel. 1000
- 48.1 deg, rel. 317
- 52.8 deg, rel. 257
- 71.5 deg, rel. 143
- 74.5 deg, rel. 297
- 76.7 deg, rel. 225